Starting from a DFT-relaxed cell (GGA-PBE, OQMD), the powder X-ray diffraction pattern of Nd3Au4 was calculated for copper Kα.

Main lines, by angle (2θ from 10° to 90°):
2.925 Å, intensity 22; 2.740 Å, intensity 11; 2.615 Å, intensity 100; 2.547 Å, intensity 88; 2.511 Å, intensity 16; 2.259 Å, intensity 19; 1.877 Å, intensity 10; 1.825 Å, intensity 21; 1.510 Å, intensity 8; 1.496 Å, intensity 16; 1.489 Å, intensity 11; 1.256 Å, intensity 8

Structure:
Cell: 8.2489 8.2489 8.2489 Å, 114.02 114.02 114.02°
Positions (direct):
1 Nd 0.0151 0.2720 0.3990
2 Nd 0.2720 0.3990 0.0151
3 Nd 0.3990 0.0151 0.2720
4 Nd 0.6010 0.9849 0.7280
5 Nd 0.7280 0.6010 0.9849
6 Nd 0.9849 0.7280 0.6010
7 Au 0.0000 0.0000 0.0000
8 Au 0.0708 0.5611 0.2317
9 Au 0.2317 0.0708 0.5611
10 Au 0.4389 0.7683 0.9292
11 Au 0.5000 0.5000 0.5000
12 Au 0.5611 0.2317 0.0708
13 Au 0.7683 0.9292 0.4389
14 Au 0.9292 0.4389 0.7683